Structure and calculated X-ray powder pattern of CaAg2Br5 (a structure optimized by DFT (GGA-PBE); Cu Kα, 1.54184 Å).
Peak positions follow from Bragg's law for the DFT cell and can differ from measured ones.

Cell and atoms:
a = 6.053 Å, b = 13.278 Å, c = 13.977 Å
α = 90.00°, β = 90.00°, γ = 90.00°
Space group Fmmm (No. 69)
One atom of each set of equivalent atoms:
Ca  0.000  0.000  0.000
Ag  0.000  0.205  0.500
Br  0.000  0.000  0.500
Br  0.000  0.159  0.137

Most intense lines, 10° ≤ 2θ ≤ 80°, in order of rising 2θ:
(hkl)	d_spacing	two_theta	Rel. int.
0 0 2	6.988	12.67	100
0 2 0	6.639	13.34	38
1 1 3	3.557	25.03	57
2 0 0	3.026	29.51	68
1 3 3	2.835	31.56	80
2 0 2	2.777	32.23	21
0 4 4	2.407	37.37	28
1 5 3	2.156	41.91	25
2 4 4	1.884	48.32	27
4 0 0	1.513	61.26	21